(1)
Calculated X-ray powder pattern
Compound: Rb2Pu2O5
Radiation: a wavelength of 1.5418 Å
Structure: a structure optimized by DFT (PBE)
Peak positions follow from Bragg's law for the DFT cell and can differ from measured ones.

Cell and atoms:
abc: 4.3213 4.3213 9.0975
angles: 90.00 90.00 90.00
Fractional positions:
Rb  0.0000  0.0000  0.0000
Rb  0.0000  0.0000  0.5000
Pu  0.5000  0.5000  0.2364
Pu  0.5000  0.5000  0.7636
O  0.0000  0.5000  0.2661
O  0.0000  0.5000  0.7339
O  0.5000  0.0000  0.2661
O  0.5000  0.0000  0.7339
O  0.5000  0.5000  0.0000

Top 8 peaks for 2θ from 15° to 90°, in order of rising 2θ:
| two_theta | I (rel.) | index |
| --- | --- | --- |
| 19.5 | 18 | 0 0 2 |
| 20.6 | 27 | 1 0 0 |
| 28.5 | 100 | 1 0 2 |
| 29.2 | 43 | 1 1 0 |
| 41.8 | 25 | 2 0 0 |
| 50.0 | 19 | 1 1 4 |
| 51.4 | 40 | 2 1 2 |
| 59.0 | 16 | 2 0 4 |

***

(2)
Calculated X-ray powder pattern
Compound: Rb3PuO3
Radiation: a wavelength of 1.5418 Å
Structure: a structure optimized by DFT (PBE)
Peak positions follow from Bragg's law for the DFT cell and can differ from measured ones.

Cell and atoms:
abc: 11.2165 11.3592 5.6546
angles: 90.00 90.00 90.00
Fractional positions:
Rb  0.1269  0.1323  0.0000
Rb  0.1278  0.8733  0.5000
Rb  0.1477  0.3517  0.5000
Rb  0.3523  0.8517  0.0000
Rb  0.3722  0.3733  0.0000
Rb  0.3731  0.6323  0.5000
Rb  0.6269  0.3677  0.5000
Rb  0.6278  0.6267  0.0000
Rb  0.6477  0.1483  0.0000
Rb  0.8523  0.6483  0.5000
Rb  0.8722  0.1267  0.5000
Rb  0.8731  0.8677  0.0000
Pu  0.1108  0.6088  0.0000
Pu  0.3892  0.1088  0.5000
Pu  0.6108  0.8912  0.5000
Pu  0.8892  0.3912  0.0000
O  0.0882  0.4128  0.0000
O  0.1059  0.7926  0.0000
O  0.2025  0.1046  0.5000
O  0.2975  0.6046  0.0000
O  0.3941  0.2926  0.5000
O  0.4118  0.9128  0.5000
O  0.5882  0.0872  0.5000
O  0.6059  0.7074  0.5000
O  0.7025  0.3954  0.0000
O  0.7975  0.8954  0.5000
O  0.8941  0.2074  0.0000
O  0.9118  0.5872  0.0000

Top 8 peaks for 2θ from 15° to 90°, in order of rising 2θ:
| two_theta | I (rel.) | index |
| --- | --- | --- |
| 17.5 | 38 | 0 1 1 |
| 27.4 | 100 | 2 2 1 |
| 31.5 | 20 | 0 4 0 |
| 31.6 | 26 | 0 0 2 |
| 31.9 | 20 | 4 0 0 |
| 45.3 | 14 | 0 4 2 |
| 45.6 | 15 | 4 0 2 |
| 53.8 | 16 | 2 2 3 |